This entry pairs a crystal structure of CdBiBrO2 with its simulated powder diffractogram. Radiation: Cu Kα (λ = 1.5418 Å). Structure: a DFT-relaxed cell (GGA-PBE, the Materials Project).
Intensities are scaled so that the largest is 100.

Structural model:
Cell lengths 3.9733, 3.9733, 12.6847 Å; angles 90.00, 90.00, 90.00 degrees
Space group I4mm (No. 107)
One atom of each set of equivalent atoms:
Cd 0.0000 0.0000 0.0000 [2 per cell]
Bi 0.0000 0.0000 0.3259 [2 per cell]
Br 0.0000 0.0000 0.6480 [2 per cell]
O 0.0000 0.5000 0.4107 [4 per cell]

Most intense lines, 2θ from 15° to 90°, low angle first:
2θ/deg  d/Å  I_rel
23.46  3.792  17
30.88  2.895  100
31.85  2.810  39
45.67  1.987  20
54.30  1.689  22
56.15  1.638  37
64.35  1.448  10
88.56  1.104  10


This entry pairs a crystal structure of MgTi2 with its simulated powder diffractogram. Radiation: Cu Kα (λ = 1.5418 Å). Structure: a DFT-relaxed cell (GGA-PBE, the Materials Project).
Intensities are scaled so that the largest is 100.

Structural model:
Cell lengths 8.9106, 5.2772, 5.4648 Å; angles 90.00, 120.86, 90.00 degrees
Space group C2/c (No. 15)
One atom of each set of equivalent atoms:
Mg 0.0000 0.0900 0.2500 [4 per cell]
Ti 0.1664 0.4161 0.7584 [8 per cell]

Most intense lines, 2θ from 15° to 90°, low angle first:
2θ/deg  d/Å  I_rel
20.45  4.344  10
33.98  2.639  12
34.67  2.587  25
38.38  2.346  35
39.21  2.298  100
40.33  2.236  45
61.25  1.513  16
73.91  1.282  9


This entry pairs a crystal structure of K3ClO with its simulated powder diffractogram. Radiation: Cu Kα (λ = 1.5418 Å). Structure: a DFT-relaxed cell (GGA-PBE, the Materials Project).
Intensities are scaled so that the largest is 100.

Structural model:
Cell lengths 7.3530, 10.4216, 7.3379 Å; angles 90.00, 90.00, 90.00 degrees
Space group Pnma (No. 62)
One atom of each set of equivalent atoms:
K 0.0162 0.2500 0.0579 [4 per cell]
K 0.2089 0.0293 0.7089 [8 per cell]
Cl 0.0252 0.7500 0.4992 [4 per cell]
O 0.0000 0.0000 0.0000 [4 per cell]

Most intense lines, 2θ from 15° to 90°, low angle first:
2θ/deg  d/Å  I_rel
27.15  3.285  14
28.46  3.136  25
29.76  3.002  100
32.21  2.779  15
34.42  2.605  27
34.54  2.597  46
49.57  1.839  28
51.97  1.760  9


This entry pairs a crystal structure of H6W with its simulated powder diffractogram. Radiation: Cu Kα (λ = 1.5418 Å). Structure: a DFT-relaxed cell (GGA-PBE, the Materials Project).
Intensities are scaled so that the largest is 100.

Structural model:
Cell lengths 11.6285, 3.0162, 7.0816 Å; angles 90.00, 123.72, 90.00 degrees
Space group C2/m (No. 12)
One atom of each set of equivalent atoms:
H 0.0371 0.0000 0.0171 [4 per cell]
H 0.0386 0.5000 0.3685 [4 per cell]
H 0.0538 0.0000 0.6648 [4 per cell]
H 0.1672 0.5000 0.3438 [4 per cell]
H 0.1907 0.5000 0.7006 [4 per cell]
H 0.2429 0.0000 0.8059 [4 per cell]
W 0.1472 0.0000 0.5206 [4 per cell]

Most intense lines, 2θ from 15° to 90°, low angle first:
2θ/deg  d/Å  I_rel
15.04  5.890  100
30.35  2.945  17
31.06  2.879  13
31.23  2.864  15
32.30  2.772  30
37.79  2.380  16
39.99  2.254  20
40.98  2.203  14


This entry pairs a crystal structure of LiLuSn2 with its simulated powder diffractogram. Radiation: Cu Kα (λ = 1.5418 Å). Structure: a DFT-relaxed cell (GGA-PBE, the Materials Project).
Intensities are scaled so that the largest is 100.

Structural model:
Cell lengths 4.2945, 19.2568, 4.4627 Å; angles 90.00, 90.00, 90.00 degrees
Space group Cmcm (No. 63)
One atom of each set of equivalent atoms:
Li 0.0000 0.1724 0.2500 [4 per cell]
Lu 0.0000 0.3944 0.2500 [4 per cell]
Sn 0.0000 0.0454 0.2500 [4 per cell]
Sn 0.0000 0.2482 0.7500 [4 per cell]

Most intense lines, 2θ from 15° to 90°, low angle first:
2θ/deg  d/Å  I_rel
24.95  3.569  14
27.80  3.209  16
31.19  2.867  15
32.11  2.787  100
34.42  2.606  18
40.42  2.231  17
42.08  2.147  16
68.31  1.373  12


What did the first record say?
This entry pairs a crystal structure of CdBiBrO2 with its simulated powder diffractogram. Radiation: Cu Kα (λ = 1.5418 Å). Structure: a DFT-relaxed cell (GGA-PBE, the Materials Project).
Intensities are scaled so that the largest is 100.

Structural model:
Cell lengths 3.9733, 3.9733, 12.6847 Å; angles 90.00, 90.00, 90.00 degrees
Space group I4mm (No. 107)
One atom of each set of equivalent atoms:
Cd 0.0000 0.0000 0.0000 [2 per cell]
Bi 0.0000 0.0000 0.3259 [2 per cell]
Br 0.0000 0.0000 0.6480 [2 per cell]
O 0.0000 0.5000 0.4107 [4 per cell]

Most intense lines, 2θ from 15° to 90°, low angle first:
2θ/deg  d/Å  I_rel
23.46  3.792  17
30.88  2.895  100
31.85  2.810  39
45.67  1.987  20
54.30  1.689  22
56.15  1.638  37
64.35  1.448  10
88.56  1.104  10